1.
Calculated XRD peak list of Rb3La2SmS6 for Cu Ka, from a crystal structure in Alexandria, relaxed with PBE.
No peak broadening, texture or thermal motion is included.

Top 8 peaks for 2θ from 10° to 90°, by angle:
| 2θ (°) | intensity |
| --- | --- |
| 11.50 | 20.2 |
| 23.11 | 20.3 |
| 25.27 | 42.1 |
| 28.65 | 100.0 |
| 39.60 | 35.7 |
| 42.30 | 34.9 |
| 48.75 | 17.4 |
| 51.89 | 18.1 |

Structural model:
a = 7.4020 Å, b = 7.4020 Å, c = 8.0819 Å
α = 98.78°, β = 98.78°, γ = 120.00°
Fractional positions:
Rb: 0.0000 0.0000 0.0000
Rb: 0.3331 0.6669 0.0000
Rb: 0.6669 0.3331 0.0000
La: 0.1666 0.8334 0.5000
La: 0.8334 0.1666 0.5000
Sm: 0.5000 0.5000 0.5000
S: 0.1077 0.4344 0.3033
S: 0.2389 0.2389 0.6967
S: 0.4344 0.1077 0.3033
S: 0.5656 0.8923 0.6967
S: 0.7611 0.7611 0.3033
S: 0.8923 0.5656 0.6967

---

2.
Calculated XRD peak list of Rb2LaSnS4 for Cu Ka, from a crystal structure in Alexandria, relaxed with PBE.
No peak broadening, texture or thermal motion is included.

Top 8 peaks for 2θ from 10° to 90°, by angle:
| 2θ (°) | intensity |
| --- | --- |
| 12.45 | 13.6 |
| 25.04 | 57.6 |
| 29.00 | 100.0 |
| 41.45 | 58.4 |
| 41.56 | 12.0 |
| 49.03 | 23.6 |
| 51.47 | 12.2 |
| 68.08 | 18.9 |

Structural model:
a = 8.7103 Å, b = 8.7103 Å, c = 8.7103 Å
α = 120.14°, β = 119.88°, γ = 89.99°
Fractional positions:
Rb: 0.0000 0.0000 0.0000
Rb: 0.5000 0.0000 0.0000
Rb: 0.5000 0.0000 0.5000
Rb: 0.5000 0.5000 0.5000
La: 0.0000 0.5000 0.5000
La: 0.5000 0.5000 0.0000
Sn: 0.0000 0.0000 0.5000
Sn: 0.0000 0.5000 0.0000
S: 0.1938 0.7374 0.4564
S: 0.2189 0.2626 0.9564
S: 0.2299 0.2605 0.5306
S: 0.2299 0.6993 0.9694
S: 0.7701 0.3007 0.0306
S: 0.7701 0.7395 0.4694
S: 0.7811 0.7374 0.0436
S: 0.8062 0.2626 0.5436

---

3.
Calculated XRD peak list of Rb4La3ThSe8 for Cu Ka, from a crystal structure in Alexandria, relaxed with PBE.
No peak broadening, texture or thermal motion is included.

Top 8 peaks for 2θ from 10° to 90°, by angle:
| 2θ (°) | intensity |
| --- | --- |
| 11.03 | 24.5 |
| 27.59 | 100.0 |
| 38.03 | 35.0 |
| 40.76 | 37.1 |
| 49.93 | 19.2 |
| 56.97 | 10.7 |
| 62.50 | 11.8 |
| 66.35 | 16.1 |

Structural model:
a = 9.5100 Å, b = 9.5100 Å, c = 9.5100 Å
α = 55.49°, β = 55.49°, γ = 55.49°
Fractional positions:
Rb: 0.0000 0.0000 0.0000
Rb: 0.0000 0.5000 0.5000
Rb: 0.5000 0.0000 0.5000
Rb: 0.5000 0.5000 0.0000
La: 0.0000 0.0000 0.5000
La: 0.0000 0.5000 0.0000
La: 0.5000 0.0000 0.0000
Th: 0.5000 0.5000 0.5000
Se: 0.2348 0.2348 0.2348
Se: 0.2437 0.7293 0.7293
Se: 0.2707 0.2707 0.7563
Se: 0.2707 0.7563 0.2707
Se: 0.7293 0.2437 0.7293
Se: 0.7293 0.7293 0.2437
Se: 0.7563 0.2707 0.2707
Se: 0.7652 0.7652 0.7652

---

4.
Calculated XRD peak list of Rb3La3YSe8 for Cu Ka, from a crystal structure in Alexandria, relaxed with PBE.
No peak broadening, texture or thermal motion is included.

Top 8 peaks for 2θ from 10° to 90°, by angle:
| 2θ (°) | intensity |
| --- | --- |
| 10.93 | 33.6 |
| 27.63 | 100.0 |
| 34.98 | 14.6 |
| 37.89 | 31.6 |
| 41.01 | 37.1 |
| 50.17 | 18.6 |
| 57.06 | 9.4 |
| 66.73 | 15.5 |

Structural model:
a = 8.8050 Å, b = 8.8050 Å, c = 9.5628 Å
α = 117.47°, β = 117.47°, γ = 59.95°
Fractional positions:
Rb: 0.0000 0.0000 0.0000
Rb: 0.0000 0.5000 0.0000
Rb: 0.5000 0.0000 0.0000
La: 0.0000 0.5000 0.5000
La: 0.5000 0.0000 0.5000
La: 0.5000 0.5000 0.5000
Y: 0.0000 0.0000 0.5000
Se: 0.2249 0.2249 0.6929
Se: 0.2248 0.7436 0.6929
Se: 0.2564 0.7752 0.3071
Se: 0.2657 0.2657 0.2976
Se: 0.7343 0.7343 0.7024
Se: 0.7436 0.2248 0.6929
Se: 0.7752 0.2564 0.3071
Se: 0.7751 0.7751 0.3071

---

5.
Calculated XRD peak list of RbSrLa for Cu Ka, from a crystal structure in Alexandria, relaxed with PBE.
No peak broadening, texture or thermal motion is included.

Top 8 peaks for 2θ from 10° to 90°, by angle:
| 2θ (°) | intensity |
| --- | --- |
| 24.24 | 23.4 |
| 25.37 | 25.7 |
| 28.17 | 100.0 |
| 30.19 | 12.0 |
| 35.37 | 13.4 |
| 44.70 | 20.4 |
| 51.49 | 17.6 |
| 53.68 | 16.2 |

Structural model:
a = 22.0303 Å, b = 4.0566 Å, c = 4.0566 Å
α = 59.89°, β = 90.00°, γ = 90.00°
Fractional positions:
Rb: 0.1828 0.0000 0.0000
Rb: 0.8172 0.0000 0.0000
Sr: 0.0000 0.3307 0.3307
Sr: 0.5000 0.9897 0.9897
La: 0.3552 0.3228 0.3228
La: 0.6448 0.3228 0.3228

---

6.
Calculated XRD peak list of RbLaTc3 for Cu Ka, from a crystal structure in Alexandria, relaxed with PBE.
No peak broadening, texture or thermal motion is included.

Top 8 peaks for 2θ from 10° to 90°, by angle:
| 2θ (°) | intensity |
| --- | --- |
| 17.30 | 48.2 |
| 24.57 | 27.1 |
| 30.21 | 46.2 |
| 35.02 | 100.0 |
| 39.31 | 24.0 |
| 50.36 | 69.9 |
| 62.81 | 23.7 |
| 84.56 | 30.9 |

Structural model:
a = 5.1247 Å, b = 5.1247 Å, c = 5.1247 Å
α = 90.00°, β = 90.00°, γ = 90.00°
Fractional positions:
Rb: 0.0000 0.0000 0.0000
La: 0.5000 0.5000 0.5000
Tc: 0.0000 0.5000 0.5000
Tc: 0.5000 0.0000 0.5000
Tc: 0.5000 0.5000 0.0000